For AgSnBiS4, a crystal structure in Alexandria, relaxed with PBE gives the simulated powder diffraction line list in this record (Cu Kα (λ = 1.5418 Å)).
Lines closer than 0.1° are merged.

Principal peaks in the range 10° ≤ 2θ ≤ 90°, in order of rising 2θ:
2θ/deg, Rel. int.
13.75, 33
22.42, 19
26.26, 100
26.43, 82
31.92, 55
41.77, 26
42.03, 36
45.41, 18
45.76, 71
46.17, 18

Structure:
Unit cell a=7.865 b=7.990 c=11.223 alpha=90.00 beta=90.00 gamma=90.00
Space group Imma (No. 74)
Symmetry-distinct sites (fractional):
1 Ag 0.000 0.250 0.125
2 Sn 0.250 0.250 0.750
3 Bi 0.000 0.000 0.500
4 S 0.000 0.025 0.752
5 S 0.250 0.250 0.522